MnTcH2: theoretical X-ray diffraction stick pattern (Cu Kα), based on a DFT-relaxed cell (PBE, Alexandria).

The 6 most intense peaks (10 to 90 degrees two-theta), by angle:
2θ (°)	I_rel	h k l
37.94	369	0 0 6
39.28	1000	0 1 2
45.28	637	1 0 4
65.05	214	0 1 8
66.89	196	1 1 0
79.56	230	1 1 6

Structure:
abc: 2.7977 2.7977 14.2294
angles: 90.00 90.00 120.00
Atoms (fractional coordinates):
Mn  0.0000  0.0000  0.0000
Mn  0.3333  0.6667  0.6667
Mn  0.6667  0.3333  0.3333
Tc  0.0000  0.0000  0.5000
Tc  0.3333  0.6667  0.1667
Tc  0.6667  0.3333  0.8333
H  0.0000  0.0000  0.3748
H  0.0000  0.0000  0.6252
H  0.3333  0.6667  0.0415
H  0.3333  0.6667  0.2919
H  0.6667  0.3333  0.7081
H  0.6667  0.3333  0.9585